1.
# ThAg6Au2
Theoretical X-ray powder pattern, Cu Kα. Input: a cell relaxed with PBE.
No peak broadening, texture or thermal motion is included.

Main lines, in order of rising 2θ (10 to 90 degrees two-theta):
4.098 Å, rel. 18.9; 2.715 Å, rel. 42.5; 2.458 Å, rel. 46.3; 2.365 Å, rel. 100.0; 2.264 Å, rel. 39.2; 1.703 Å, rel. 13.2; 1.575 Å, rel. 17.0; 1.344 Å, rel. 9.7; 1.311 Å, rel. 18.5; 1.309 Å, rel. 18.5

```
ThAg6Au2
1.0
7.274 -4.092 0.000
7.274 4.092 0.000
-0.673 0.000 3.075
Th Ag Au
1 6 2
Cartesian
0.000 0.000 0.000
4.504 2.638 0.997
6.937 1.358 1.538
9.370 2.638 2.078
4.504 -2.638 0.997
6.937 -1.358 1.538
9.370 -2.638 2.078
4.515 0.000 2.617
9.360 0.000 0.459
```

2.
# Mg3Al18W2
Theoretical X-ray powder pattern, Cu Kα. Input: a cell relaxed with PBE.
No peak broadening, texture or thermal motion is included.

Main lines, in order of rising 2θ (10 to 90 degrees two-theta):
8.480 Å, rel. 100.0; 4.428 Å, rel. 60.9; 4.240 Å, rel. 58.0; 3.672 Å, rel. 34.1; 2.596 Å, rel. 42.3; 2.240 Å, rel. 44.8; 2.214 Å, rel. 96.7; 2.120 Å, rel. 28.9; 2.057 Å, rel. 42.3; 1.413 Å, rel. 28.8

```
Mg3Al18W2
1.0
0.000 7.344 7.344
7.344 0.000 7.344
7.344 7.344 0.000
Mg Al W
6 36 4
Cartesian
0.000 0.000 0.000
3.672 3.672 0.000
3.672 0.000 3.672
1.836 1.836 1.836
0.000 3.672 3.672
12.851 12.851 12.851
4.738 2.805 2.805
8.211 6.277 2.805
8.211 2.805 6.277
9.949 6.477 6.477
11.883 8.410 6.477
11.883 6.477 8.410
5.508 5.508 3.404
5.508 3.404 5.508
7.612 5.508 5.508
2.805 4.738 2.805
6.277 8.211 2.805
2.805 2.805 4.738
8.211 8.211 4.738
6.277 2.805 8.211
8.211 4.738 8.211
9.180 9.180 7.076
9.180 7.076 9.180
11.283 9.180 9.180
3.404 5.508 5.508
5.508 7.612 5.508
5.508 5.508 7.612
6.477 9.949 6.477
8.410 11.883 6.477
6.477 6.477 9.949
11.883 11.883 9.949
8.410 6.477 11.883
11.883 9.949 11.883
7.076 9.180 9.180
9.180 11.283 9.180
9.180 9.180 11.283
2.805 8.211 6.277
2.805 6.277 8.211
4.738 8.211 8.211
6.477 11.883 8.410
6.477 8.410 11.883
9.949 11.883 11.883
7.344 3.672 3.672
3.672 7.344 3.672
3.672 3.672 7.344
7.344 7.344 7.344
```

3.
# Tm2Ga5Os
Theoretical X-ray powder pattern, Cu Kα. Input: a cell relaxed with PBE.
No peak broadening, texture or thermal motion is included.

Main lines, in order of rising 2θ (10 to 90 degrees two-theta):
3.068 Å, rel. 33.2; 2.966 Å, rel. 100.0; 2.600 Å, rel. 43.6; 2.449 Å, rel. 98.9; 2.169 Å, rel. 78.8; 2.032 Å, rel. 25.3; 1.928 Å, rel. 24.7; 1.751 Å, rel. 32.8; 1.483 Å, rel. 30.7; 1.239 Å, rel. 23.7

```
Tm2Ga5Os
1.0
6.136 0.000 0.000
0.000 6.136 0.000
0.000 0.000 8.127
Tm Ga Os
4 10 2
Cartesian
0.000 3.068 0.000
0.000 3.068 4.063
3.068 0.000 0.000
3.068 0.000 4.063
0.000 0.000 3.978
1.302 1.302 6.049
1.302 4.834 6.049
1.766 1.766 1.986
1.766 4.370 1.986
3.068 3.068 8.041
4.370 1.766 1.986
4.370 4.370 1.986
4.834 1.302 6.049
4.834 4.834 6.049
0.000 0.000 1.512
3.068 3.068 5.575
```

4.
# KScIO6
Theoretical X-ray powder pattern, Cu Kα. Input: a cell relaxed with PBE.
No peak broadening, texture or thermal motion is included.

Main lines, in order of rising 2θ (10 to 90 degrees two-theta):
5.864 Å, rel. 65.3; 4.738 Å, rel. 40.4; 3.686 Å, rel. 100.0; 2.736 Å, rel. 26.6; 2.479 Å, rel. 25.0; 2.197 Å, rel. 16.6; 2.000 Å, rel. 44.1; 1.713 Å, rel. 19.0; 1.590 Å, rel. 9.9; 1.579 Å, rel. 11.8

```
KScIO6
1.0
5.471 0.000 0.000
-2.736 4.738 0.000
0.000 0.000 5.864
K Sc I O
1 1 1 6
Cartesian
0.000 0.000 0.000
0.000 3.159 2.932
2.736 1.579 2.932
2.098 0.149 4.007
1.178 1.743 1.857
3.373 0.149 1.857
1.815 2.846 4.007
4.293 1.743 4.007
3.656 2.846 1.857
```

5.
# Pm2Al4Ag3
Theoretical X-ray powder pattern, Cu Kα. Input: a cell relaxed with PBE.
No peak broadening, texture or thermal motion is included.

Main lines, in order of rising 2θ (10 to 90 degrees two-theta):
3.537 Å, rel. 92.1; 3.209 Å, rel. 29.4; 2.791 Å, rel. 52.1; 2.756 Å, rel. 45.2; 2.647 Å, rel. 100.0; 2.602 Å, rel. 39.9; 2.500 Å, rel. 37.2; 2.367 Å, rel. 31.2; 2.356 Å, rel. 69.9; 1.396 Å, rel. 28.3

```
Pm2Al4Ag3
1.0
2.936 -7.999 0.000
2.936 7.999 0.000
0.000 0.000 7.895
Pm Al Ag
4 8 6
Cartesian
2.936 6.350 7.116
2.936 1.649 3.168
2.936 -1.649 4.728
2.936 -6.350 0.780
2.936 5.224 4.019
1.468 1.091 5.922
1.468 -1.091 1.974
2.936 2.775 0.071
2.936 -2.775 7.824
4.404 1.091 5.922
4.404 -1.091 1.974
2.936 -5.224 3.876
0.000 0.000 3.948
1.468 3.759 5.922
1.468 -3.759 1.974
2.936 0.000 0.000
4.404 3.759 5.922
4.404 -3.759 1.974
```

6.
# Li2Tb2CeIn2
Theoretical X-ray powder pattern, Cu Kα. Input: a cell relaxed with PBE.
No peak broadening, texture or thermal motion is included.

Main lines, in order of rising 2θ (10 to 90 degrees two-theta):
4.229 Å, rel. 91.1; 2.799 Å, rel. 73.1; 2.582 Å, rel. 97.3; 2.475 Å, rel. 100.0; 1.854 Å, rel. 21.9; 1.786 Å, rel. 32.2; 1.484 Å, rel. 21.0; 1.448 Å, rel. 32.1; 1.429 Å, rel. 17.7; 1.415 Å, rel. 27.5

```
Li2Tb2CeIn2
1.0
2.475 1.429 8.624
-2.475 1.429 8.624
0.000 -2.858 8.624
Li Tb Ce In
2 2 1 2
Cartesian
0.000 0.000 2.625
0.000 0.000 23.246
0.000 0.000 9.642
0.000 0.000 16.229
0.000 0.000 12.936
0.000 0.000 6.158
0.000 0.000 19.713
```

7.
# Tl3SiAu4
Theoretical X-ray powder pattern, Cu Kα. Input: a cell relaxed with PBE.
No peak broadening, texture or thermal motion is included.

Main lines, in order of rising 2θ (10 to 90 degrees two-theta):
3.447 Å, rel. 20.8; 3.127 Å, rel. 27.9; 2.827 Å, rel. 31.6; 2.768 Å, rel. 100.0; 2.593 Å, rel. 60.5; 2.554 Å, rel. 28.1; 2.318 Å, rel. 65.9; 2.073 Å, rel. 16.8; 2.070 Å, rel. 15.7; 1.581 Å, rel. 16.8

```
Tl3SiAu4
1.0
9.279 0.000 0.000
0.000 6.893 0.000
-0.028 0.000 12.505
Tl Si Au
12 4 16
Cartesian
0.176 0.329 4.365
0.162 3.118 10.618
2.314 1.324 0.755
2.300 2.122 7.007
4.436 0.335 4.366
4.421 3.111 10.619
4.829 3.782 1.886
4.815 6.558 8.139
6.951 4.771 5.498
6.937 5.569 11.750
9.089 3.775 1.887
9.074 6.564 8.140
2.312 4.489 4.546
2.298 5.851 10.798
6.953 1.042 1.707
6.938 2.404 7.959
0.229 0.155 11.085
0.243 3.292 4.832
2.319 4.175 0.062
2.298 4.561 8.710
2.312 5.779 2.457
2.305 6.165 6.315
4.369 0.150 11.083
4.383 3.296 4.830
4.867 3.597 7.675
4.881 6.743 1.422
6.945 0.728 6.190
6.938 1.115 10.048
6.952 2.332 3.795
6.931 2.718 12.443
9.007 3.601 7.673
9.022 6.738 1.420
```

8.
# Sr4TbCd5
Theoretical X-ray powder pattern, Cu Kα. Input: a cell relaxed with PBE.
No peak broadening, texture or thermal motion is included.

Main lines, in order of rising 2θ (10 to 90 degrees two-theta):
2.829 Å, rel. 100.0; 2.808 Å, rel. 53.2; 2.016 Å, rel. 7.2; 1.985 Å, rel. 19.2; 1.638 Å, rel. 14.7; 1.625 Å, rel. 36.7; 1.415 Å, rel. 8.9; 1.404 Å, rel. 6.1; 1.258 Å, rel. 7.7; 1.256 Å, rel. 8.4

```
Sr4TbCd5
1.0
3.971 0.000 0.000
0.000 3.971 0.000
0.000 0.000 20.160
Sr Tb Cd
4 1 5
Cartesian
0.000 0.000 2.089
0.000 0.000 6.244
0.000 0.000 13.916
0.000 0.000 18.071
0.000 0.000 10.080
1.985 1.985 0.000
1.985 1.985 4.157
1.985 1.985 8.399
1.985 1.985 11.761
1.985 1.985 16.004
```

9.
# LiSmIn2Br6
Theoretical X-ray powder pattern, Cu Kα. Input: a cell relaxed with PBE.
No peak broadening, texture or thermal motion is included.

Main lines, in order of rising 2θ (10 to 90 degrees two-theta):
6.418 Å, rel. 58.0; 3.358 Å, rel. 47.5; 3.276 Å, rel. 84.6; 3.251 Å, rel. 66.3; 3.209 Å, rel. 65.7; 2.747 Å, rel. 100.0; 2.711 Å, rel. 74.9; 2.441 Å, rel. 51.7; 2.195 Å, rel. 49.6; 1.924 Å, rel. 34.9

```
LiSmIn2Br6
1.0
7.592 0.000 0.000
0.000 7.962 0.000
-7.476 0.000 10.845
Li Sm In Br
2 2 4 12
Cartesian
0.000 0.000 0.000
-3.738 3.981 5.422
0.058 0.000 5.422
3.796 3.981 0.000
-3.888 0.632 8.059
-0.150 3.349 2.637
0.266 4.613 8.208
4.004 7.329 2.785
-2.275 1.595 4.926
-6.013 2.385 10.349
-1.458 5.579 4.901
-5.196 6.363 10.323
0.762 0.150 2.649
-2.976 3.831 8.071
3.092 4.131 2.773
-0.646 7.812 8.196
5.312 1.599 0.522
1.574 2.382 5.944
6.129 5.576 0.496
2.391 6.366 5.919
```

10.
# Li6SbAs2
Theoretical X-ray powder pattern, Cu Kα. Input: a cell relaxed with PBE.
No peak broadening, texture or thermal motion is included.

Main lines, in order of rising 2θ (10 to 90 degrees two-theta):
3.776 Å, rel. 100.0; 3.035 Å, rel. 16.8; 2.366 Å, rel. 71.1; 2.180 Å, rel. 30.9; 1.888 Å, rel. 14.3; 1.771 Å, rel. 20.6; 1.603 Å, rel. 20.9; 1.427 Å, rel. 11.3; 1.408 Å, rel. 10.8; 1.291 Å, rel. 20.1

```
Li6SbAs2
1.0
7.551 0.000 0.000
-3.776 6.540 0.000
0.000 0.000 3.035
Li Sb As
6 1 2
Cartesian
-1.285 2.225 0.000
-2.491 4.315 0.000
2.569 0.000 0.000
1.285 2.225 0.000
4.982 0.000 0.000
2.491 4.315 0.000
0.000 0.000 1.518
0.000 4.360 1.518
3.776 2.180 1.518
```

11.
# Tb2Sm2Y6Th
Theoretical X-ray powder pattern, Cu Kα. Input: a cell relaxed with PBE.
No peak broadening, texture or thermal motion is included.

Main lines, in order of rising 2θ (10 to 90 degrees two-theta):
4.645 Å, rel. 13.0; 2.921 Å, rel. 28.7; 2.896 Å, rel. 21.8; 2.858 Å, rel. 36.4; 2.794 Å, rel. 100.0; 2.656 Å, rel. 19.9; 2.035 Å, rel. 16.0; 1.946 Å, rel. 16.0; 1.638 Å, rel. 20.1; 1.494 Å, rel. 13.7

```
Tb2Sm2Y6Th
1.0
2.858 -6.021 0.000
2.858 6.021 0.000
-0.008 0.000 10.625
Tb Sm Y Th
2 2 6 1
Cartesian
2.858 3.583 0.000
2.858 -3.583 0.000
2.854 4.391 5.313
2.854 -4.391 5.313
-0.003 0.000 8.400
2.853 1.823 3.077
2.856 1.823 7.548
2.853 -1.823 3.077
2.856 -1.823 7.548
5.711 0.000 2.225
2.858 0.000 0.000
```